# AcCoTc2O8
Computed X-ray powder pattern, Cu Kα (weighted mean of Kα1 and Kα2). Input: a DFT-relaxed cell (GGA+U, Alexandria).

Lattice parameters (Å, degrees): 5.7705 5.7705 6.9122 90.00 90.00 120.00
Space group P-3 (No. 147)
Unique sites:
Ac 0.0000 0.0000 0.0000 x1
Co 0.0000 0.0000 0.5000 x1
Tc 0.3333 0.6667 0.7576 x2
O 0.1532 0.8422 0.6990 x6
O 0.3333 0.6667 0.0181 x2

Largest 10 diffraction maxima, low angle first, 2θ = 5–70°:
2θ 12.8, I 27.7, (0 0 1); 2θ 17.7, I 52.8, (1 0 0); 2θ 21.9, I 100.0, (1 0 1); 2θ 31.0, I 91.3, (1 1 0); 2θ 31.5, I 88.7, (0 1 2); 2θ 33.7, I 27.6, (2 -1 1); 2θ 44.8, I 46.8, (0 2 2); 2θ 50.1, I 24.6, (3 -1 1); 2θ 55.4, I 40.7, (1 2 2); 2θ 62.7, I 25.1, (2 -1 4)